[1]
Li2AgW: computed XRD peak list (Cu Kα X-rays), based on a crystal structure in Alexandria, relaxed with GGA-PBE.

abc: 2.9873 4.4851 9.5436
angles: 90.00 90.00 90.00
Positions (direct):
Li (0.0000, 0.0000, 0.2490)
Li (0.0000, 0.0000, 0.7510)
Li (0.5000, 0.5000, 0.2490)
Li (0.5000, 0.5000, 0.7510)
Ag (0.0000, 0.5000, 0.0000)
Ag (0.5000, 0.0000, 0.0000)
W (0.0000, 0.5000, 0.5000)
W (0.5000, 0.0000, 0.5000)

Main lines, by angle (5 to 70 degrees two-theta):
d (Å), Position (°2θ), Rel. int.
9.544, 9.27, 25
4.772, 18.59, 100
2.486, 36.13, 38
2.205, 40.93, 62
2.030, 44.65, 21
1.721, 53.21, 25

***

[2]
LiAg2W: computed XRD peak list (Cu Kα X-rays), based on a crystal structure in Alexandria, relaxed with GGA-PBE.

abc: 3.0068 4.5676 9.7305
angles: 90.00 90.00 90.00
Positions (direct):
Li (0.0000, 0.0000, 0.0000)
Li (0.5000, 0.5000, 0.0000)
Ag (0.0000, 0.0000, 0.5001)
Ag (0.0000, 0.5000, 0.7612)
Ag (0.5000, 0.0000, 0.7612)
Ag (0.5000, 0.5000, 0.5001)
W (0.0000, 0.5000, 0.2463)
W (0.5000, 0.0000, 0.2463)

Main lines, by angle (5 to 70 degrees two-theta):
d (Å), Position (°2θ), Rel. int.
9.731, 9.09, 68
4.865, 18.23, 34
2.432, 36.96, 46
2.284, 39.46, 27
2.232, 40.42, 100
1.363, 68.92, 21

***

[3]
Li2AgW: computed XRD peak list (Cu Kα X-rays), based on a crystal structure in Alexandria, relaxed with GGA-PBE.

abc: 2.7705 2.7705 28.9077
angles: 90.00 90.00 120.00
Positions (direct):
Li (0.0000, 0.0000, 0.2494)
Li (0.0000, 0.0000, 0.7506)
Li (0.3333, 0.6667, 0.4172)
Li (0.3333, 0.6667, 0.9161)
Li (0.6667, 0.3333, 0.0839)
Li (0.6667, 0.3333, 0.5828)
Ag (0.0000, 0.0000, 0.5000)
Ag (0.3333, 0.6667, 0.1667)
Ag (0.6667, 0.3333, 0.8333)
W (0.0000, 0.0000, 0.0000)
W (0.3333, 0.6667, 0.6667)
W (0.6667, 0.3333, 0.3333)

Main lines, by angle (5 to 70 degrees two-theta):
d (Å), Position (°2θ), Rel. int.
9.636, 9.18, 25
4.818, 18.41, 100
2.367, 38.02, 49
2.277, 39.58, 50
1.999, 45.37, 34
1.846, 49.36, 23

***

[4]
LiYAg2: computed XRD peak list (Cu Kα X-rays), based on a crystal structure in Alexandria, relaxed with GGA-PBE.

abc: 4.3429 4.3429 8.6074
angles: 90.00 90.00 90.00
Positions (direct):
Li (0.0000, 0.0000, 0.0000)
Li (0.5000, 0.5000, 0.5000)
Y (0.0000, 0.5000, 0.7500)
Y (0.5000, 0.0000, 0.2500)
Ag (0.0000, 0.0000, 0.5000)
Ag (0.0000, 0.5000, 0.2500)
Ag (0.5000, 0.0000, 0.7500)
Ag (0.5000, 0.5000, 0.0000)

Main lines, by angle (5 to 70 degrees two-theta):
d (Å), Position (°2θ), Rel. int.
3.877, 22.94, 37
2.500, 35.93, 100
2.171, 41.59, 33
2.152, 41.99, 16
1.535, 60.28, 10
1.528, 60.58, 21